CsHgAu: simulated powder diffraction line list (Cu Kα (weighted mean of Kα1 and Kα2)), based on a GGA-PBE-relaxed structure.
Peak positions follow from Bragg's law for the DFT cell and can differ from measured ones.

Top 8 peaks for 10° ≤ 2θ ≤ 90°, sorted by position:
2θ/deg  I (rel.)  hkl
16.06  55.4  1 1 0
25.52  88.5  2 0 1
28.00  100.0  2 1 1
34.48  68.6  2 2 1
43.38  80.9  3 2 1
48.07  60.3  4 0 1
60.49  40.1  4 1 3
64.27  29.2  5 2 0

Cell and atoms:
a b c (Å): 7.805 7.805 7.805
angles (deg): 90.00 90.00 90.00
Sites, in units of the cell vectors:
1 Cs 0.087 0.087 0.087
2 Cs 0.413 0.913 0.587
3 Cs 0.587 0.413 0.913
4 Cs 0.913 0.587 0.413
5 Hg 0.079 0.579 0.921
6 Hg 0.421 0.421 0.421
7 Hg 0.579 0.921 0.079
8 Hg 0.921 0.079 0.579
9 Au 0.180 0.320 0.680
10 Au 0.320 0.680 0.180
11 Au 0.680 0.180 0.320
12 Au 0.820 0.820 0.820